Diffraction record for CeDyH2. The X-ray powder pattern is theoretical, not measured: it uses a cell relaxed with GGA-PBE and Cu Ka.
Kinematic intensities with the Lorentz-polarization factor, no thermal factor.

abc: 3.410 3.410 18.250
angles: 90.00 90.00 120.00
Fractional coordinates of all 12 atoms:
Ce (0.000, 0.000, 0.000)
Ce (0.333, 0.667, 0.667)
Ce (0.667, 0.333, 0.333)
Dy (0.000, 0.000, 0.825)
Dy (0.333, 0.667, 0.491)
Dy (0.667, 0.333, 0.158)
H (0.000, 0.000, 0.234)
H (0.000, 0.000, 0.418)
H (0.333, 0.667, 0.085)
H (0.333, 0.667, 0.900)
H (0.667, 0.333, 0.567)
H (0.667, 0.333, 0.751)

The 10 most intense peaks (2θ from 10° to 90°), in order of falling intensity:
h k l  2θ (°)  I_rel
1 0 1  30.67  100
0 1 5  39.24  63
0 0 6  29.36  50
1 1 6  62.44  36
1 0 4  36.23  31
1 1 0  53.76  29
0 1 2  31.85  27
1 0 7  46.46  26
0 1 11  64.41  16
1 1 12  85.57  14